Ca5Mn2Ni2O12: computed powder XRD pattern (Cu Kα), based on a structure optimized by DFT (GGA+U).
Lines closer than 0.1° are merged.

Crystal structure
```
Ca5Mn2Ni2O12
1.0
4.420 -4.614 0.000
4.420 4.614 0.000
-0.523 0.000 6.375
Ca Mn Ni O
5 2 2 12
direct
0.000 0.000 0.000
0.128 0.494 0.855
0.286 0.361 0.367
0.506 0.872 0.145
0.639 0.714 0.633
0.387 0.109 0.756
0.891 0.613 0.244
0.123 0.877 0.500
0.641 0.359 0.000
0.100 0.143 0.670
0.178 0.696 0.206
0.304 0.822 0.794
0.340 0.193 0.046
0.406 0.007 0.467
0.456 0.401 0.723
0.599 0.544 0.277
0.668 0.069 0.861
0.807 0.660 0.954
0.857 0.900 0.330
0.931 0.332 0.139
0.993 0.594 0.533
```

Largest 10 diffraction maxima, in order of rising 2θ, 2θ = 10–90°:
2theta  I (rel.)
13.89  19
19.10  100
19.23  42
32.14  26
33.32  45
33.56  88
41.23  38
45.64  25
45.81  52
47.21  24